Ba4Sr4Co3Cu5O24: computed PXRD pattern (λ = 1.5418 Å (Cu Kα)), based on a crystal structure in the Materials Project, relaxed with PBE+U.
Intensities are scaled so that the largest is 100.

Structural model:
```
data_Ba4Sr4Co3Cu5O24
_chemical_formula_sum 'Ba4 Sr4 Co3 Cu5 O24'
_cell_length_a 7.904
_cell_length_b 7.923
_cell_length_c 7.925
_cell_angle_alpha 90.11
_cell_angle_beta 90.01
_cell_angle_gamma 90.04
_space_group_name_H-M_alt 'P 1'
_space_group_IT_number 1
loop_
_space_group_symop_operation_xyz
'x,y,z'
loop_
_atom_site_label
_atom_site_type_symbol
_atom_site_fract_x
_atom_site_fract_y
_atom_site_fract_z
Ba1 Ba 0.000 0.000 0.000
Ba2 Ba 0.001 0.000 0.498
Ba3 Ba 0.496 0.503 0.000
Ba4 Ba 0.497 0.000 0.498
Sr1 Sr 0.002 0.503 0.001
Sr2 Sr 0.002 0.503 0.497
Sr3 Sr 0.494 0.503 0.497
Sr4 Sr 0.494 0.999 0.001
Co1 Co 0.748 0.254 0.249
Co2 Co 0.748 0.254 0.749
Co3 Co 0.748 0.749 0.749
Cu1 Cu 0.248 0.252 0.249
Cu2 Cu 0.248 0.750 0.749
Cu3 Cu 0.248 0.751 0.249
Cu4 Cu 0.249 0.252 0.749
Cu5 Cu 0.748 0.751 0.249
O1 O 0.243 0.500 0.744
O2 O 0.243 0.501 0.254
O3 O 0.248 0.254 0.998
O4 O 0.248 0.264 0.500
O5 O 0.248 0.739 0.500
O6 O 0.248 0.749 0.998
O7 O 0.254 0.002 0.244
O8 O 0.254 0.002 0.755
O9 O 0.500 0.750 0.249
O10 O 0.504 0.253 0.249
O11 O 0.504 0.750 0.749
O12 O 0.517 0.252 0.749
O13 O 0.745 0.005 0.245
O14 O 0.746 0.991 0.752
O15 O 0.748 0.259 0.490
O16 O 0.748 0.743 0.501
O17 O 0.748 0.750 0.997
O18 O 0.749 0.253 0.009
O19 O 0.750 0.510 0.747
O20 O 0.751 0.500 0.252
O21 O 0.980 0.259 0.749
O22 O 0.992 0.260 0.249
O23 O 0.992 0.743 0.749
O24 O 0.997 0.740 0.249
```

Peak list (10 most intense, 15 to 90 degrees two-theta, in order of rising 2θ)
2theta  d/Å  I_rel  index
31.97  2.799  100.0  2 2 0
39.43  2.286  12.2  2 2 2
45.81  1.981  23.2  0 0 4
45.92  1.976  11.4  4 0 0
56.96  1.617  25.5  2 -4 2
57.04  1.615  12.6  2 4 2
66.87  1.399  16.8  0 4 4
75.94  1.253  6.8  0 2 -6
76.00  1.252  4.1  0 2 6
76.15  1.250  5.4  6 2 0